The following is a theoretical X-ray powder pattern of Zr4HPt. It was derived from a structure optimized by DFT (PBE), using Cu Kα X-rays.
Neutral-atom scattering factors, no anomalous dispersion.

Atomic structure:
a = 5.713 Å, b = 5.896 Å, c = 6.830 Å
α = 90.00°, β = 102.40°, γ = 90.00°
Space group P2_1/c (No. 14)
Asymmetric unit:
1 Zr 0.114 0.141 0.192 (multiplicity 4)
2 Zr 0.323 0.619 0.113 (multiplicity 4)
3 H 0.000 0.000 0.500 (multiplicity 2)
4 Pt 0.500 0.000 0.000 (multiplicity 2)

The 10 most intense peaks (2θ = 10–90°), sorted by position:
2θ = 15.88°, 5.579 Å, I 23; 2θ = 20.10°, 4.418 Å, I 26; 2θ = 31.98°, 2.798 Å, I 25; 2θ = 33.23°, 2.696 Å, I 41; 2θ = 34.16°, 2.625 Å, I 68; 2θ = 34.41°, 2.606 Å, I 22; 2θ = 35.55°, 2.525 Å, I 100; 2θ = 38.32°, 2.349 Å, I 19; 2θ = 43.25°, 2.092 Å, I 45; 2θ = 56.33°, 1.633 Å, I 24